Structure and computed powder XRD pattern of VReMo4 (a PBE-relaxed structure; a wavelength of 1.5418 Å).
No peak broadening, texture or thermal motion is included.

Lattice parameters (Å, degrees): 9.8959 3.1320 6.2509 90.00 108.42 90.00
Element x y z (fractional)
V (0.0000, 0.0000, 0.0000)
V (0.5000, 0.5000, 0.0000)
Re (0.0000, 0.0000, 0.5000)
Re (0.5000, 0.5000, 0.5000)
Mo (0.1642, 0.5000, 0.8354)
Mo (0.1671, 0.5000, 0.3308)
Mo (0.3329, 0.0000, 0.6692)
Mo (0.3358, 0.0000, 0.1646)
Mo (0.6642, 0.0000, 0.8354)
Mo (0.6671, 0.0000, 0.3308)
Mo (0.8329, 0.5000, 0.6692)
Mo (0.8358, 0.5000, 0.1646)

Main lines, by angle (2θ = 15–90°):
d/Å  2theta  I (rel.)  (hkl)
4.423  20.07  45  2 0 -1
3.219  27.71  20  2 0 1
2.770  32.32  32  1 1 -1
2.556  35.11  23  1 1 1
2.465  36.45  13  4 0 -1
2.213  40.78  1000  3 1 0
1.672  54.90  14  3 1 -3
1.565  59.01  109  0 2 0
1.563  59.12  54  2 0 -4
1.277  74.24  331  5 1 2
1.107  88.32  73  6 2 0
1.106  88.40  37  4 0 4